This entry pairs a crystal structure of Cd3Re3N2 with its theoretical PXRD pattern. Radiation: Cu Kα, 1.54184 Å. Structure: a structure optimized by DFT (PBE).

Largest 8 diffraction maxima, in order of rising 2θ, 2θ = 5–70°:
| index | 2θ (°) | d [Å] | Rel. int. |
| --- | --- | --- | --- |
| 0 0 1 | 8.1 | 10.854 | 24.4 |
| 1 0 0 | 23.7 | 3.756 | 61.2 |
| 1 0 2 | 28.9 | 3.088 | 31.5 |
| 0 0 4 | 33.0 | 2.714 | 51.5 |
| 1 1 0 | 33.8 | 2.656 | 100.0 |
| 1 1 4 | 47.9 | 1.898 | 64.2 |
| 2 0 0 | 48.5 | 1.878 | 50.7 |
| 2 0 4 | 59.9 | 1.544 | 36.1 |

Cell and atoms:
Lattice parameters (Å, degrees): 3.7557 3.7557 10.8541 90.00 90.00 90.00
Space group P-4m2 (No. 115)
Asymmetric unit:
1 Cd 0.0000 0.0000 0.0000 (multiplicity 1)
2 Cd 0.0000 0.0000 0.5000 (multiplicity 1)
3 Cd 0.5000 0.5000 0.0000 (multiplicity 1)
4 Re 0.5000 0.5000 0.2744 (multiplicity 2)
5 Re 0.5000 0.5000 0.5000 (multiplicity 1)
6 N 0.0000 0.5000 0.7629 (multiplicity 2)